No. 1
Starting from a DFT-relaxed cell (PBE+U, Alexandria), the XRD peak list of NpBiMoO6 was simulated for Cu Ka.
Intensities are scaled so that the largest is 100.

Principal peaks in the range 2θ from 15° to 90°, by angle:
2θ 19.49, d = 4.554 Å, I = 16, hkl 1 0 1; 2θ 24.77, d = 3.595 Å, I = 100, hkl 1 1 0; 2θ 31.55, d = 2.836 Å, I = 91, hkl 1 0 3; 2θ 35.31, d = 2.542 Å, I = 29, hkl 2 0 0; 2θ 48.07, d = 1.893 Å, I = 71, hkl 2 1 3; 2θ 50.80, d = 1.797 Å, I = 17, hkl 2 2 0; 2θ 57.31, d = 1.608 Å, I = 18, hkl 3 1 0; 2θ 59.96, d = 1.543 Å, I = 18, hkl 1 1 6; 2θ 61.04, d = 1.518 Å, I = 20, hkl 3 0 3; 2θ 72.53, d = 1.303 Å, I = 17, hkl 3 2 3; 2θ 82.37, d = 1.171 Å, I = 13, hkl 3 1 6; 2θ 83.32, d = 1.160 Å, I = 14, hkl 4 1 3

Lattice parameters (Å, degrees): 5.0838 5.0838 10.2490 90.00 90.00 90.00
Space group P4_2nm (No. 102)
Unique sites:
Np 0.0000 0.0000 0.0000 [2 per cell]
Bi 0.0000 0.0000 0.6658 [2 per cell]
Mo 0.0000 0.0000 0.3351 [2 per cell]
O 0.1772 0.1772 0.1629 [4 per cell]
O 0.1991 0.1991 0.8512 [4 per cell]
O 0.2051 0.2051 0.4889 [4 per cell]

---

No. 2
Starting from a DFT-relaxed cell (PBE+U, Alexandria), the XRD peak list of CaMo2O6 was simulated for Cu Ka.
Intensities are scaled so that the largest is 100.

Principal peaks in the range 2θ from 15° to 90°, by angle:
2θ 16.42, d = 5.399 Å, I = 100, hkl 2 0 0; 2θ 18.11, d = 4.899 Å, I = 47, hkl 2 0 -1; 2θ 23.30, d = 3.818 Å, I = 54, hkl 2 0 1; 2θ 26.11, d = 3.413 Å, I = 67, hkl 1 1 -1; 2θ 26.85, d = 3.320 Å, I = 40, hkl 2 0 -2; 2θ 28.12, d = 3.173 Å, I = 76, hkl 1 1 1; 2θ 33.19, d = 2.700 Å, I = 25, hkl 4 0 0; 2θ 33.65, d = 2.663 Å, I = 36, hkl 3 1 -1; 2θ 39.00, d = 2.309 Å, I = 21, hkl 0 0 3; 2θ 44.76, d = 2.025 Å, I = 18, hkl 4 0 -3; 2θ 45.60, d = 1.989 Å, I = 26, hkl 0 2 0; 2θ 46.69, d = 1.945 Å, I = 27, hkl 3 1 2

Lattice parameters (Å, degrees): 11.1582 3.9787 7.1588 90.00 104.60 90.00
Space group C2/m (No. 12)
Unique sites:
Ca 0.0000 0.0000 0.0000 [2 per cell]
Mo 0.2383 0.0000 0.6744 [4 per cell]
O 0.0974 0.0000 0.7420 [4 per cell]
O 0.1188 0.5000 0.1292 [4 per cell]
O 0.2393 0.0000 0.3844 [4 per cell]

---

No. 3
Starting from a DFT-relaxed cell (PBE+U, Alexandria), the XRD peak list of Mn3CuSe4O12 was simulated for Cu Ka.
Intensities are scaled so that the largest is 100.

Principal peaks in the range 2θ from 15° to 90°, by angle:
2θ 29.03, d = 3.076 Å, I = 58, hkl 0 2 0; 2θ 31.21, d = 2.866 Å, I = 23, hkl 0 2 -1; 2θ 31.44, d = 2.845 Å, I = 56, hkl -1 1 2; 2θ 31.87, d = 2.808 Å, I = 100, hkl 1 1 -2; 2θ 32.44, d = 2.760 Å, I = 49, hkl 1 1 2; 2θ 34.09, d = 2.630 Å, I = 45, hkl 2 0 0; 2θ 44.60, d = 2.032 Å, I = 19, hkl 2 -2 0; 2θ 46.13, d = 1.968 Å, I = 40, hkl 0 0 4; 2θ 52.70, d = 1.737 Å, I = 13, hkl -1 3 2; 2θ 54.03, d = 1.697 Å, I = 13, hkl 1 3 2; 2θ 55.52, d = 1.655 Å, I = 15, hkl 0 2 4; 2θ 59.59, d = 1.551 Å, I = 12, hkl 3 -1 2

Lattice parameters (Å, degrees): 5.2639 6.1556 7.8717 90.16 91.11 91.85
Space group P-1 (No. 2)
Unique sites:
Mn 0.0000 0.0000 0.0000 [1 per cell]
Mn 0.0000 0.0000 0.5000 [1 per cell]
Mn 0.5000 0.5000 0.0000 [1 per cell]
Cu 0.5000 0.5000 0.5000 [1 per cell]
Se 0.0071 0.5297 0.7395 [2 per cell]
Se 0.4845 0.0356 0.7438 [2 per cell]
O 0.1154 0.6949 0.5771 [2 per cell]
O 0.1262 0.6815 0.9138 [2 per cell]
O 0.1882 0.9193 0.2467 [2 per cell]
O 0.3244 0.4264 0.2603 [2 per cell]
O 0.3676 0.1818 0.9152 [2 per cell]
O 0.3818 0.1984 0.5736 [2 per cell]